Theoretical powder X-ray diffraction pattern
Compound: Fe2Co9N8
Radiation: Cu Ka
Structure: a cell relaxed with PBE
Peak positions follow from Bragg's law for the DFT cell and can differ from measured ones.

Structural model:
```
data_Fe2Co9N8
_chemical_formula_sum 'Fe4 Co18 N16'
_space_group_name_H-M_alt 'C 1 2/m 1'
_space_group_IT_number 12
_cell_length_a 17.0023
_cell_length_b 3.7564
_cell_length_c 6.0000
_cell_angle_alpha 90.00
_cell_angle_beta 109.45
_cell_angle_gamma 90.00
loop_
_space_group_symop_operation_xyz
'x,y,z'
'-x,-y,-z'
'-x,y,-z'
'x,-y,z'
'x+1/2,y+1/2,z'
'-x+1/2,-y+1/2,-z'
'-x+1/2,y+1/2,-z'
'x+1/2,-y+1/2,z'
loop_
_atom_site_label
_atom_site_type_symbol
_atom_site_fract_x
_atom_site_fract_y
_atom_site_fract_z
Fe1 Fe 0.1771 0.0000 0.1382
Co1 Co 0.0000 0.5000 0.5000
Co2 Co 0.0154 0.0000 0.7771
Co3 Co 0.0744 0.5000 0.1545
Co4 Co 0.1531 0.5000 0.7975
Co5 Co 0.1943 0.0000 0.5754
N1 N 0.0378 0.5000 0.8190
N2 N 0.1007 0.0000 0.2857
N3 N 0.1392 0.0000 0.8177
N4 N 0.2263 0.5000 0.6262
```

Largest 10 diffraction maxima, in order of rising 2θ, 15° ≤ 2θ ≤ 90°:
2θ/deg	intensity
31.4	31
33.5	37
36.9	44
38.9	100
41.8	23
42.4	48
44.0	38
48.3	30
48.5	81
56.6	23